Calculated powder XRD pattern of Sr2SbPPt6 for Cu Kα (λ = 1.5418 Å), from the PBE geometry in Alexandria.
Peak positions follow from Bragg's law for the DFT cell and can differ from measured ones.

Main lines, in order of rising 2θ (2θ = 10–90°):
2θ/deg	d [Å]	Rel. int.
10.4	8.521	465
20.8	4.261	364
29.4	3.041	643
33.4	2.686	483
37.6	2.390	1000
37.9	2.377	700
41.1	2.195	396
41.6	2.171	590
43.4	2.085	561
57.5	1.603	387

Crystal structure
Unit cell a=5.7268 b=8.6838 c=8.5213 alpha=90.00 beta=90.00 gamma=90.00
Atoms (fractional coordinates):
Sr  0.2500  0.0083  0.2242
Sr  0.2500  0.4917  0.2242
Sr  0.7500  0.5083  0.7758
Sr  0.7500  0.9917  0.7758
Sb  0.2500  0.7500  0.7860
Sb  0.7500  0.2500  0.2140
P  0.2500  0.2500  0.7375
P  0.7500  0.7500  0.2625
Pt  0.0032  0.7500  0.4990
Pt  0.0110  0.2500  0.9621
Pt  0.2500  0.0036  0.6108
Pt  0.2500  0.4964  0.6108
Pt  0.4890  0.2500  0.9621
Pt  0.4968  0.7500  0.4990
Pt  0.5032  0.2500  0.5010
Pt  0.5110  0.7500  0.0379
Pt  0.7500  0.5036  0.3892
Pt  0.7500  0.9964  0.3892
Pt  0.9890  0.7500  0.0379
Pt  0.9968  0.2500  0.5010

***

Calculated powder XRD pattern of Sc2P3Pt2 for Cu Kα (λ = 1.5418 Å), from the PBE geometry in Alexandria.
Peak positions follow from Bragg's law for the DFT cell and can differ from measured ones.

Main lines, in order of rising 2θ (2θ = 10–90°):
2θ/deg	d [Å]	Rel. int.
16.6	5.355	455
20.7	4.290	533
23.7	3.748	778
26.6	3.348	368
31.7	2.823	1000
35.2	2.549	616
37.0	2.432	482
42.1	2.145	417
43.4	2.085	678
56.0	1.641	319

Crystal structure
Unit cell a=5.2487 b=10.7095 c=4.2902 alpha=90.00 beta=90.00 gamma=90.00
Atoms (fractional coordinates):
Sc  0.1095  0.1388  0.0000
Sc  0.3905  0.6388  0.0000
Sc  0.6095  0.3612  0.0000
Sc  0.8905  0.8612  0.0000
P  0.0000  0.0000  0.5000
P  0.1112  0.4061  0.0000
P  0.3888  0.9061  0.0000
P  0.5000  0.5000  0.5000
P  0.6112  0.0939  0.0000
P  0.8888  0.5939  0.0000
Pt  0.1754  0.3246  0.5000
Pt  0.3246  0.8246  0.5000
Pt  0.6754  0.1754  0.5000
Pt  0.8246  0.6754  0.5000

***

Calculated powder XRD pattern of Th6PPt2Se3 for Cu Kα (λ = 1.5418 Å), from the PBE geometry in Alexandria.
Peak positions follow from Bragg's law for the DFT cell and can differ from measured ones.

Main lines, in order of rising 2θ (2θ = 10–90°):
2θ/deg	d [Å]	Rel. int.
26.2	3.397	164
29.7	3.011	528
30.0	2.982	1000
41.7	2.164	195
42.6	2.123	377
42.8	2.114	390
44.0	2.057	182
52.2	1.752	105
54.0	1.698	201
62.3	1.491	122

Crystal structure
Unit cell a=9.5265 b=9.5265 c=8.6560 alpha=103.50 beta=103.50 gamma=24.94
Atoms (fractional coordinates):
Th  0.0010  0.0010  0.2352
Th  0.3309  0.3309  0.4326
Th  0.3383  0.3383  0.9081
Th  0.6617  0.6617  0.0919
Th  0.6691  0.6691  0.5674
Th  0.9990  0.9990  0.7648
P  0.5000  0.5000  0.0000
Pt  0.1657  0.1657  0.3308
Pt  0.8343  0.8343  0.6692
Se  0.1676  0.1676  0.8334
Se  0.5000  0.5000  0.5000
Se  0.8324  0.8324  0.1666